No. 1
Structure and calculated PXRD pattern of Tb2YEr3 (DFT lattice parameters and positions (PBE); Cu Kα (weighted mean of Kα1 and Kα2)).

The 6 most intense peaks (2θ = 5–70°), in order of rising 2θ:
2θ = 30.98°, intensity 100.0
2θ = 35.93°, intensity 50.6
2θ = 51.70°, intensity 23.9
2θ = 61.48°, intensity 21.3
2θ = 61.56°, intensity 21.2
2θ = 64.58°, intensity 12.2

Cell and atoms:
a b c (Å): 6.117 7.071 9.353
angles (deg): 112.11 90.04 90.02
Space group P-1 (No. 2)
Unique sites:
Tb 0.082 0.209 0.167 x2
Tb 0.418 0.542 0.833 x2
Y 0.250 0.126 0.500 x2
Er 0.084 0.708 0.166 x2
Er 0.250 0.624 0.500 x2
Er 0.416 0.042 0.834 x2

No. 2
Structure and calculated PXRD pattern of TbY2Er2 (DFT lattice parameters and positions (PBE); Cu Kα (weighted mean of Kα1 and Kα2)).

The 6 most intense peaks (2θ = 5–70°), in order of rising 2θ:
2θ = 30.16°, intensity 45.5
2θ = 31.11°, intensity 75.5
2θ = 32.49°, intensity 100.0
2θ = 33.50°, intensity 96.1
2θ = 51.35°, intensity 55.4
2θ = 61.27°, intensity 64.8

Cell and atoms:
a b c (Å): 14.518 7.119 6.161
angles (deg): 90.00 98.08 90.00
Space group P2_1/c (No. 14)
Unique sites:
Tb 0.199 0.125 0.149 x4
Y 0.199 0.625 0.147 x4
Y 0.399 0.125 0.883 x4
Er 0.000 0.125 0.751 x4
Er 0.399 0.625 0.883 x4

No. 3
Structure and calculated PXRD pattern of Tb2Y5Er4 (DFT lattice parameters and positions (PBE); Cu Kα (weighted mean of Kα1 and Kα2)).

The 6 most intense peaks (2θ = 5–70°), in order of rising 2θ:
2θ = 25.97°, intensity 43.8
2θ = 30.47°, intensity 69.7
2θ = 30.97°, intensity 100.0
2θ = 31.21°, intensity 95.6
2θ = 32.61°, intensity 87.2
2θ = 37.17°, intensity 48.4

Cell and atoms:
a b c (Å): 23.690 3.470 8.669
angles (deg): 90.00 96.64 90.00
Space group C2/m (No. 12)
Unique sites:
Tb 0.091 0.000 0.239 x4
Y 0.000 0.500 0.500 x2
Y 0.140 0.000 0.620 x4
Y 0.231 0.000 0.321 x4
Er 0.046 0.000 0.862 x4
Er 0.176 0.500 0.972 x4

No. 4
Structure and calculated PXRD pattern of Tb7Y2Er (DFT lattice parameters and positions (PBE); Cu Kα (weighted mean of Kα1 and Kα2)).

The 6 most intense peaks (2θ = 5–70°), in order of rising 2θ:
2θ = 30.78°, intensity 96.6
2θ = 31.31°, intensity 100.0
2θ = 32.90°, intensity 45.3
2θ = 33.28°, intensity 45.0
2θ = 47.50°, intensity 33.4
2θ = 62.08°, intensity 28.2

Cell and atoms:
a b c (Å): 5.444 7.019 16.782
angles (deg): 90.00 90.00 90.00
Space group Immm (No. 71)
Unique sites:
Tb 0.000 0.000 0.000 x2
Tb 0.000 0.249 0.391 x8
Tb 0.000 0.500 0.198 x4
Y 0.000 0.000 0.200 x4
Er 0.000 0.500 0.000 x2

No. 5
Structure and calculated PXRD pattern of Tb5Y6Er2 (DFT lattice parameters and positions (PBE); Cu Kα (weighted mean of Kα1 and Kα2)).

The 6 most intense peaks (2θ = 5–70°), in order of rising 2θ:
2θ = 31.04°, intensity 60.8
2θ = 31.59°, intensity 68.9
2θ = 31.79°, intensity 58.3
2θ = 31.94°, intensity 46.0
2θ = 32.25°, intensity 100.0
2θ = 36.69°, intensity 39.8

Cell and atoms:
a b c (Å): 11.643 20.309 3.570
angles (deg): 90.00 90.00 90.00
Space group Pbam (No. 55)
Unique sites:
Tb 0.000 0.000 0.000 x2
Tb 0.088 0.272 0.000 x4
Tb 0.199 0.550 0.000 x4
Y 0.058 0.418 0.500 x4
Y 0.084 0.131 0.500 x4
Y 0.173 0.863 0.000 x4
Er 0.167 0.709 0.500 x4

No. 6
Structure and calculated PXRD pattern of Tb2YEr4 (DFT lattice parameters and positions (PBE); Cu Kα (weighted mean of Kα1 and Kα2)).

The 6 most intense peaks (2θ = 5–70°), in order of rising 2θ:
2θ = 29.76°, intensity 22.4
2θ = 31.11°, intensity 45.7
2θ = 31.29°, intensity 22.5
2θ = 32.66°, intensity 100.0
2θ = 32.74°, intensity 32.9
2θ = 56.32°, intensity 23.3

Cell and atoms:
a b c (Å): 6.004 8.398 9.816
angles (deg): 85.00 72.40 69.10
Space group P1 (No. 1)
Unique sites:
Tb 0.000 0.000 0.000 x1
Tb 0.017 0.930 0.358 x1
Tb 0.200 0.500 0.500 x1
Tb 0.300 0.070 0.641 x1
Y 0.191 0.569 0.140 x1
Y 0.897 0.431 0.860 x1
Er 0.369 0.646 0.777 x1
Er 0.408 0.145 0.279 x1
Er 0.443 0.212 0.923 x1
Er 0.579 0.788 0.077 x1
Er 0.623 0.713 0.424 x1
Er 0.756 0.287 0.577 x1
Er 0.797 0.354 0.222 x1
Er 0.827 0.855 0.720 x1

No. 7
Structure and calculated PXRD pattern of Tb7Y12Er (DFT lattice parameters and positions (PBE); Cu Kα (weighted mean of Kα1 and Kα2)).

The 6 most intense peaks (2θ = 5–70°), in order of rising 2θ:
2θ = 9.50°, intensity 42.4
2θ = 27.52°, intensity 62.1
2θ = 30.35°, intensity 52.9
2θ = 33.34°, intensity 100.0
2θ = 36.09°, intensity 26.3
2θ = 41.44°, intensity 29.3

Cell and atoms:
a b c (Å): 18.6145 18.6145 6.7281
angles (deg): 90.00 90.00 120.00
Space group R-3 (No. 148, hexagonal axes)
Unique sites:
Tb 0.0000 0.0000 0.0000 x3
Tb 0.0090 0.1556 0.2883 x18
Y 0.0000 0.2111 0.7929 x18
Y 0.0076 0.5376 0.2376 x18
Er 0.0000 0.0000 0.5000 x3

No. 8
Structure and calculated PXRD pattern of Tb2Y2Er7 (DFT lattice parameters and positions (PBE); Cu Kα (weighted mean of Kα1 and Kα2)).

The 6 most intense peaks (2θ = 5–70°), in order of rising 2θ:
2θ = 30.01°, intensity 46.5
2θ = 30.80°, intensity 39.6
2θ = 31.94°, intensity 100.0
2θ = 32.65°, intensity 52.4
2θ = 35.78°, intensity 39.2
2θ = 56.41°, intensity 36.9

Cell and atoms:
a b c (Å): 10.030 19.654 3.598
angles (deg): 90.00 90.00 90.00
Space group Cmmm (No. 65)
Unique sites:
Tb 0.227 0.000 0.000 x4
Y 0.000 0.224 0.000 x4
Er 0.000 0.084 0.500 x4
Er 0.000 0.500 0.500 x2
Er 0.200 0.339 0.500 x8

No. 9
Structure and calculated PXRD pattern of Tb3YEr8 (DFT lattice parameters and positions (PBE); Cu Kα (weighted mean of Kα1 and Kα2)).

The 6 most intense peaks (2θ = 5–70°), in order of rising 2θ:
2θ = 20.12°, intensity 20.8
2θ = 23.27°, intensity 19.7
2θ = 33.15°, intensity 100.0
2θ = 47.58°, intensity 18.3
2θ = 59.21°, intensity 38.1
2θ = 69.57°, intensity 11.8

Cell and atoms:
a b c (Å): 7.640 7.640 15.309
angles (deg): 90.00 90.00 90.00
Space group I4/mmm (No. 139)
Unique sites:
Tb 0.000 0.000 0.000 x2
Tb 0.000 0.500 0.250 x4
Y 0.000 0.000 0.500 x2
Er 0.249 0.249 0.125 x16

No. 10
Structure and calculated PXRD pattern of Tb4Y15Er (DFT lattice parameters and positions (PBE); Cu Kα (weighted mean of Kα1 and Kα2)).

The 6 most intense peaks (2θ = 5–70°), in order of rising 2θ:
2θ = 17.59°, intensity 6.7
2θ = 30.71°, intensity 100.0
2θ = 35.61°, intensity 50.2
2θ = 51.24°, intensity 35.0
2θ = 60.93°, intensity 41.1
2θ = 63.95°, intensity 11.8

Cell and atoms:
a b c (Å): 5.043 5.043 25.214
angles (deg): 90.00 90.00 90.00
Space group P4/mmm (No. 123)
Unique sites:
Tb 0.000 0.000 0.100 x2
Tb 0.000 0.000 0.300 x2
Y 0.000 0.500 0.000 x2
Y 0.000 0.500 0.200 x4
Y 0.000 0.500 0.401 x4
Y 0.500 0.500 0.100 x2
Y 0.500 0.500 0.301 x2
Y 0.500 0.500 0.500 x1
Er 0.000 0.000 0.500 x1

No. 11
Structure and calculated PXRD pattern of Tb6Y4Er (DFT lattice parameters and positions (PBE); Cu Kα (weighted mean of Kα1 and Kα2)).

The 6 most intense peaks (2θ = 5–70°), in order of rising 2θ:
2θ = 30.43°, intensity 78.1
2θ = 30.65°, intensity 51.3
2θ = 31.26°, intensity 66.7
2θ = 31.90°, intensity 100.0
2θ = 33.37°, intensity 40.9
2θ = 44.35°, intensity 37.1

Cell and atoms:
a b c (Å): 5.722 9.655 25.627
angles (deg): 90.00 90.00 90.00
Space group Cmcm (No. 63)
Unique sites:
Tb 0.000 0.000 0.000 x4
Tb 0.000 0.029 0.250 x4
Tb 0.000 0.307 0.605 x8
Tb 0.000 0.362 0.183 x8
Y 0.000 0.032 0.122 x8
Y 0.000 0.345 0.043 x8
Er 0.000 0.306 0.750 x4

No. 12
Structure and calculated PXRD pattern of Tb5Y12Er (DFT lattice parameters and positions (PBE); Cu Kα (weighted mean of Kα1 and Kα2)).

The 6 most intense peaks (2θ = 5–70°), in order of rising 2θ:
2θ = 11.71°, intensity 9.0
2θ = 30.72°, intensity 100.0
2θ = 35.62°, intensity 50.2
2θ = 51.26°, intensity 35.1
2θ = 60.96°, intensity 41.3
2θ = 63.98°, intensity 11.9

Cell and atoms:
a b c (Å): 15.117 15.139 5.038
angles (deg): 90.00 90.00 90.00
Space group Cmmm (No. 65)
Unique sites:
Tb 0.000 0.000 0.000 x2
Tb 0.000 0.167 0.500 x4
Tb 0.000 0.334 0.000 x4
Y 0.166 0.000 0.500 x4
Y 0.166 0.167 0.000 x8
Y 0.166 0.334 0.500 x8
Y 0.166 0.500 0.000 x4
Er 0.000 0.500 0.500 x2